Entry 1:
Structure and theoretical X-ray diffraction stick pattern of PrHoCN2O2 (a structure optimized by DFT (GGA-PBE); Cu Kα X-rays).

Peak list (8 most intense, 15 to 90 degrees two-theta, sorted by position)
| d/Å | intensity | (hkl) |
| --- | --- | --- |
| 4.120 | 18.9 | 0 0 2 |
| 3.058 | 100.0 | 0 1 1 |
| 2.746 | 17.8 | 0 0 3 |
| 2.573 | 41.9 | 1 0 2 |
| 2.109 | 21.0 | 0 1 3 |
| 1.902 | 28.8 | 1 1 0 |
| 1.746 | 24.4 | 0 1 4 |
| 1.563 | 19.7 | 1 1 3 |

Atomic structure:
Lattice parameters (Å, degrees): 3.8033 3.8033 8.2393 90.00 90.00 120.00
Fractional coordinates of all 7 atoms:
Pr (0.0000, 0.0000, 0.0000)
Ho (0.6667, 0.3333, 0.6416)
C (0.3333, 0.6667, 0.3261)
N (0.3333, 0.6667, 0.1759)
N (0.3333, 0.6667, 0.4757)
O (0.0000, 0.0000, 0.7073)
O (0.6667, 0.3333, 0.9126)

Entry 2:
Structure and theoretical X-ray diffraction stick pattern of TbHoCN2O2 (a structure optimized by DFT (GGA-PBE); Cu Kα X-rays).

Peak list (8 most intense, 15 to 90 degrees two-theta, sorted by position)
| d/Å | intensity | (hkl) |
| --- | --- | --- |
| 4.068 | 18.5 | 0 0 2 |
| 2.985 | 100.0 | 0 1 1 |
| 2.712 | 18.8 | 0 0 3 |
| 2.519 | 43.9 | 1 0 2 |
| 2.071 | 20.4 | 0 1 3 |
| 1.853 | 28.1 | 1 1 0 |
| 1.718 | 24.6 | 0 1 4 |
| 1.530 | 20.2 | 1 1 3 |

Atomic structure:
Lattice parameters (Å, degrees): 3.7051 3.7051 8.1364 90.00 90.00 120.00
Fractional coordinates of all 7 atoms:
Tb (0.0000, 0.0000, 0.0000)
Ho (0.6667, 0.3333, 0.6455)
C (0.3333, 0.6667, 0.3232)
N (0.3333, 0.6667, 0.1716)
N (0.3333, 0.6667, 0.4748)
O (0.0000, 0.0000, 0.7173)
O (0.6667, 0.3333, 0.9233)

Entry 3:
Structure and theoretical X-ray diffraction stick pattern of YHoCN2O2 (a structure optimized by DFT (GGA-PBE); Cu Kα X-rays).

Peak list (8 most intense, 15 to 90 degrees two-theta, sorted by position)
| d/Å | intensity | (hkl) |
| --- | --- | --- |
| 4.073 | 20.1 | 0 0 2 |
| 3.200 | 20.2 | 1 0 0 |
| 2.978 | 100.0 | 0 1 1 |
| 2.516 | 42.2 | 1 0 2 |
| 2.070 | 24.0 | 0 1 3 |
| 1.847 | 28.6 | 1 1 0 |
| 1.718 | 24.4 | 0 1 4 |
| 1.527 | 18.8 | 1 1 3 |

Atomic structure:
Lattice parameters (Å, degrees): 3.6946 3.6946 8.1459 90.00 90.00 120.00
Fractional coordinates of all 7 atoms:
Y (0.0000, 0.0000, 0.0000)
Ho (0.6667, 0.3333, 0.6453)
C (0.3333, 0.6667, 0.3225)
N (0.3333, 0.6667, 0.1709)
N (0.3333, 0.6667, 0.4740)
O (0.0000, 0.0000, 0.7169)
O (0.6667, 0.3333, 0.9235)

Entry 4:
Structure and theoretical X-ray diffraction stick pattern of HoNbCS (a structure optimized by DFT (GGA-PBE); Cu Kα X-rays).

Peak list (8 most intense, 15 to 90 degrees two-theta, sorted by position)
| d/Å | intensity | (hkl) |
| --- | --- | --- |
| 3.053 | 15.3 | 0 0 4 |
| 3.026 | 30.6 | 1 0 0 |
| 2.937 | 34.3 | 0 1 1 |
| 2.428 | 100.0 | 1 0 3 |
| 1.747 | 31.8 | 1 1 0 |
| 1.511 | 18.0 | 1 0 7 |
| 1.418 | 18.0 | 0 2 3 |
| 1.101 | 16.6 | 2 1 3 |

Atomic structure:
Lattice parameters (Å, degrees): 3.4936 3.4936 12.2101 90.00 90.00 120.00
Fractional coordinates of all 8 atoms:
Ho (0.3333, 0.6667, 0.3894)
Ho (0.6667, 0.3333, 0.6106)
Nb (0.3333, 0.6667, 0.0848)
Nb (0.6667, 0.3333, 0.9152)
C (0.0000, 0.0000, 0.0000)
C (0.0000, 0.0000, 0.5000)
S (0.3333, 0.6667, 0.7735)
S (0.6667, 0.3333, 0.2265)